1.
# Li2FePO5
Theoretical X-ray diffraction stick pattern, Cu Kα. Input: a structure optimized by DFT (GGA+U).
No peak broadening, texture or thermal motion is included.

Main lines, in order of rising 2θ (15° ≤ 2θ ≤ 90°):
Position (°2θ), I_rel
19.3, 19
19.6, 22
21.7, 67
22.0, 63
27.6, 40
27.9, 21
34.1, 100
42.4, 17
57.1, 23
57.6, 18

Structure:
```
data_Li2FePO5
_cell_length_a 9.0746
_cell_length_b 4.5192
_cell_length_c 9.1873
_cell_angle_alpha 90.00
_cell_angle_beta 90.00
_cell_angle_gamma 90.00
_symmetry_space_group_name_H-M 'P m c 21'
_symmetry_Int_Tables_number 26
_symmetry_space_group_name_Hall 'P 2c -2'
loop_
_atom_site_label
_atom_site_type_symbol
_atom_site_fract_x
_atom_site_fract_y
_atom_site_fract_z
Li1 Li 0.0000 0.0065 0.0000
Li2 Li 0.2463 0.0070 0.2584
Li3 Li 0.5000 0.4132 0.7589
Fe1 Fe 0.0000 0.4475 0.2630
Fe2 Fe 0.5000 0.0332 0.4758
P1 P 0.2515 0.4978 0.5122
O1 O 0.0000 0.1530 0.7673
O2 O 0.1525 0.3056 0.4121
O3 O 0.1543 0.3117 0.1151
O4 O 0.3453 0.2835 0.9216
O5 O 0.3496 0.2784 0.5993
O6 O 0.5000 0.1682 0.2907
```



2.
# LiFe2P2O8
Theoretical X-ray diffraction stick pattern, Cu Kα. Input: a structure optimized by DFT (GGA+U).
No peak broadening, texture or thermal motion is included.

Main lines, in order of rising 2θ (15° ≤ 2θ ≤ 90°):
Position (°2θ), I_rel
17.6, 15
20.6, 13
24.6, 27
26.0, 100
28.3, 10
29.2, 28
30.7, 75
35.5, 22
39.7, 44
60.7, 13

Structure:
```
data_LiFe2P2O8
_cell_length_a 4.5512
_cell_length_b 5.2076
_cell_length_c 7.6978
_cell_angle_alpha 88.53
_cell_angle_beta 77.37
_cell_angle_gamma 75.96
_symmetry_space_group_name_H-M 'P 1'
_symmetry_Int_Tables_number 1
_symmetry_space_group_name_Hall 'P 1'
loop_
_atom_site_label
_atom_site_type_symbol
_atom_site_fract_x
_atom_site_fract_y
_atom_site_fract_z
Li1 Li 0.0000 0.0000 0.0000
Fe1 Fe 0.6332 0.5425 0.4340
Fe2 Fe 0.7390 0.0643 0.6344
P1 P 0.0361 0.4961 0.7570
P2 P 0.3297 0.1321 0.2888
O1 O 0.0271 0.6602 0.9153
O2 O 0.3219 0.0103 0.1158
O3 O 0.3795 0.4026 0.6384
O4 O 0.4833 0.3696 0.2643
O5 O 0.5138 0.9212 0.4052
O6 O 0.8442 0.6683 0.6254
O7 O 0.9231 0.2394 0.8006
O8 O 0.9938 0.2306 0.4118
```



3.
# LiFePO4
Theoretical X-ray diffraction stick pattern, Cu Kα. Input: a structure optimized by DFT (GGA+U).
No peak broadening, texture or thermal motion is included.

Main lines, in order of rising 2θ (15° ≤ 2θ ≤ 90°):
Position (°2θ), I_rel
24.0, 28
26.4, 21
27.1, 100
30.6, 53
32.6, 37
33.9, 27
35.1, 26
40.0, 28
50.2, 25
58.1, 25

Structure:
```
data_LiFePO4
_cell_length_a 5.8872
_cell_length_b 7.7081
_cell_length_c 13.8899
_cell_angle_alpha 90.00
_cell_angle_beta 90.00
_cell_angle_gamma 90.00
_symmetry_space_group_name_H-M 'P b c a'
_symmetry_Int_Tables_number 61
_symmetry_space_group_name_Hall '-P 2ac 2ab'
loop_
_atom_site_label
_atom_site_type_symbol
_atom_site_fract_x
_atom_site_fract_y
_atom_site_fract_z
Li1 Li 0.1554 0.1968 0.2244
Fe1 Fe 0.1024 0.6820 0.5356
P1 P 0.1007 0.5462 0.8709
O1 O 0.0228 0.6301 0.1368
O2 O 0.0624 0.1908 0.5853
O3 O 0.1743 0.6022 0.7707
O4 O 0.1948 0.0313 0.9438
```



4.
# Li2FeP2O7
Theoretical X-ray diffraction stick pattern, Cu Kα. Input: a structure optimized by DFT (GGA+U).
No peak broadening, texture or thermal motion is included.

Main lines, in order of rising 2θ (15° ≤ 2θ ≤ 90°):
Position (°2θ), I_rel
17.5, 100
20.9, 25
23.8, 19
25.3, 40
25.5, 39
28.8, 27
30.9, 16
31.1, 16
40.4, 21
40.6, 21

Structure:
```
data_Li2FeP2O7
_cell_length_a 11.0518
_cell_length_b 11.1408
_cell_length_c 10.1252
_cell_angle_alpha 90.00
_cell_angle_beta 90.00
_cell_angle_gamma 90.00
_symmetry_space_group_name_H-M 'C m m 2'
_symmetry_Int_Tables_number 35
_symmetry_space_group_name_Hall 'C 2 -2'
loop_
_atom_site_label
_atom_site_type_symbol
_atom_site_fract_x
_atom_site_fract_y
_atom_site_fract_z
Li1 Li 0.0000 0.2269 0.0000
Li2 Li 0.0000 0.2270 0.4998
Li3 Li 0.2257 0.5000 0.0291
Li4 Li 0.2257 0.5000 0.5293
Fe1 Fe 0.2500 0.2500 0.2654
Fe2 Fe 0.2500 0.2500 0.7650
P1 P 0.0000 0.3605 0.2177
P2 P 0.0000 0.3605 0.7176
P3 P 0.1402 0.0000 0.3109
P4 P 0.1403 0.0000 0.8111
O1 O 0.0000 0.0000 0.3561
O2 O 0.0000 0.0000 0.8566
O3 O 0.0000 0.3471 0.3655
O4 O 0.0000 0.3466 0.8653
O5 O 0.0000 0.5000 0.1735
O6 O 0.0000 0.5000 0.6740
O7 O 0.1128 0.3090 0.1466
O8 O 0.1131 0.3097 0.6463
O9 O 0.1529 0.0000 0.1630
O10 O 0.1526 0.0000 0.6632
O11 O 0.1931 0.1118 0.3817
O12 O 0.1938 0.1117 0.8818
```